Starting from a PBE-relaxed structure, the XRD peak list of LiCu6OF11 was computed for Cu Kα (weighted mean of Kα1 and Kα2).
Lines closer than 0.1° are merged.

Cell and atoms:
```
data_LiCu6OF11
_symmetry_space_group_name_H-M 'P 1'
_symmetry_Int_Tables_number 1
_cell_length_a 4.829
_cell_length_b 5.416
_cell_length_c 8.406
_cell_angle_alpha 85.06
_cell_angle_beta 86.86
_cell_angle_gamma 87.40
loop_
_symmetry_equiv_pos_as_xyz
'x,y,z'
loop_
_atom_site_label
_atom_site_fract_x
_atom_site_fract_y
_atom_site_fract_z
Li1 0.000 0.000 0.000
Cu1 0.003 0.997 0.495
Cu2 0.015 0.364 0.186
Cu3 0.496 0.501 0.505
Cu4 0.503 0.117 0.826
Cu5 0.520 0.834 0.150
Cu6 0.957 0.628 0.828
O1 0.682 0.836 0.932
F1 0.174 0.927 0.781
F2 0.181 0.665 0.094
F3 0.211 0.287 0.426
F4 0.284 0.427 0.744
F5 0.296 0.165 0.081
F6 0.305 0.798 0.404
F7 0.703 0.535 0.272
F8 0.707 0.201 0.583
F9 0.793 0.321 0.906
F10 0.794 0.711 0.578
F11 0.818 0.049 0.221
```

Main lines, sorted by position (10° ≤ 2θ ≤ 90°):
index  2θ/deg  I_rel
1 1 1  25.57  100.0
-1 1 1  27.31  92.2
0 0 3  32.10  59.5
1 -1 2  33.55  44.4
1 1 -2  34.02  28.0
0 2 -1  35.85  23.1
1 1 4  47.97  16.4
-1 1 4  50.36  24.0
2 2 2  52.53  21.2
2 -2 1  53.36  16.2
-2 2 2  56.34  17.2
0 2 -4  58.05  18.9


Starting from a PBE-relaxed structure, the XRD peak list of Sm4Bi2O was computed for Cu Kα (weighted mean of Kα1 and Kα2).
Lines closer than 0.1° are merged.

Cell and atoms:
```
data_Sm4Bi2O
_symmetry_space_group_name_H-M 'I 4/m m m'
_symmetry_Int_Tables_number 139
_symmetry_space_group_name_Hall '-I 4 2'
_cell_length_a 4.682
_cell_length_b 4.682
_cell_length_c 17.435
_cell_angle_alpha 90.00
_cell_angle_beta 90.00
_cell_angle_gamma 90.00
loop_
_atom_site_label
_atom_site_fract_x
_atom_site_fract_y
_atom_site_fract_z
Sm1 0.000 0.000 0.175
Sm2 0.000 0.500 0.000
Bi1 0.000 0.000 0.360
O1 0.000 0.000 0.000
```

Main lines, sorted by position (10° ≤ 2θ ≤ 90°):
index  2θ/deg  I_rel
1 1 0  26.93  29.0
1 1 2  28.85  76.0
0 0 6  30.77  38.1
1 0 5  32.00  25.6
1 1 4  34.01  100.0
2 0 0  38.45  65.6
2 0 6  50.04  42.3
2 2 0  55.51  22.8
3 1 2  63.76  16.5
2 2 6  64.82  18.2
3 1 4  66.72  29.5
2 1 11  75.18  16.7


Starting from a PBE-relaxed structure, the XRD peak list of TlGaSe2 was computed for Cu Kα (weighted mean of Kα1 and Kα2).
Lines closer than 0.1° are merged.

Cell and atoms:
```
data_TlGaSe2
_symmetry_space_group_name_H-M 'C 1 2/c 1'
_symmetry_Int_Tables_number 15
_cell_length_a 11.037
_cell_length_b 11.000
_cell_length_c 16.060
_cell_angle_alpha 90.00
_cell_angle_beta 99.50
_cell_angle_gamma 90.00
loop_
_symmetry_equiv_pos_as_xyz
'x,y,z'
'-x,-y,-z'
'-x,y,-z+1/2'
'x,-y,z+1/2'
'x+1/2,y+1/2,z'
'-x+1/2,-y+1/2,-z'
'-x+1/2,y+1/2,-z+1/2'
'x+1/2,-y+1/2,z+1/2'
loop_
_atom_site_label
_atom_site_fract_x
_atom_site_fract_y
_atom_site_fract_z
Tl1 0.064 0.219 0.397
Tl2 0.242 0.415 0.117
Ga1 0.101 0.187 0.665
Ga2 0.145 0.436 0.836
Se1 0.000 0.047 0.750
Se2 0.000 0.430 0.250
Se3 0.053 0.303 0.931
Se4 0.214 0.071 0.572
Se5 0.241 0.189 0.250
```

Main lines, sorted by position (10° ≤ 2θ ≤ 90°):
index  2θ/deg  I_rel
0 0 4  22.45  32.7
2 2 0  23.00  61.4
3 1 -1  25.59  27.8
1 3 -1  25.96  26.5
2 2 2  26.81  39.4
2 2 -3  26.93  31.0
2 2 3  30.20  80.6
2 2 -4  30.35  100.0
1 3 3  31.57  38.6
4 0 -4  36.87  29.0
4 4 -1  46.63  45.8
0 4 7  52.37  25.1


Starting from a PBE-relaxed structure, the XRD peak list of Co2Ge was computed for Cu Kα (weighted mean of Kα1 and Kα2).
Lines closer than 0.1° are merged.

Cell and atoms:
```
data_Co2Ge
_symmetry_space_group_name_H-M 'P 63/m m c'
_symmetry_Int_Tables_number 194
_symmetry_space_group_name_Hall '-P 6c 2c'
_cell_length_a 4.0053
_cell_length_b 4.0053
_cell_length_c 5.0150
_cell_angle_alpha 90.00
_cell_angle_beta 90.00
_cell_angle_gamma 120.00
loop_
_atom_site_label
_atom_site_fract_x
_atom_site_fract_y
_atom_site_fract_z
Co1 0.0000 0.0000 0.0000
Co2 0.3333 0.6667 0.2500
Ge1 0.3333 0.6667 0.7500
```

Main lines, sorted by position (10° ≤ 2θ ≤ 90°):
index  2θ/deg  I_rel
1 0 1  31.36  1.8
0 0 2  35.81  9.4
1 0 2  44.59  89.9
1 1 0  45.28  100.0
1 1 2  59.03  12.9
2 0 2  65.43  26.5
0 0 4  75.89  6.6
2 1 2  83.14  26.0
3 0 0  83.63  15.1


Starting from a PBE-relaxed structure, the XRD peak list of CdBiS2Cl was computed for Cu Kα (weighted mean of Kα1 and Kα2).
Lines closer than 0.1° are merged.

Cell and atoms:
```
data_CdBiS2Cl
_symmetry_space_group_name_H-M 'P n m a'
_symmetry_Int_Tables_number 62
_cell_length_a 9.671
_cell_length_b 4.010
_cell_length_c 12.791
_cell_angle_alpha 90.00
_cell_angle_beta 90.00
_cell_angle_gamma 90.00
loop_
_symmetry_equiv_pos_as_xyz
'x,y,z'
'-x,-y,-z'
'-x+1/2,-y,z+1/2'
'x+1/2,y,-z+1/2'
'x+1/2,-y+1/2,-z+1/2'
'-x+1/2,y+1/2,z+1/2'
'-x,y+1/2,-z'
'x,-y+1/2,z'
loop_
_atom_site_label
_atom_site_fract_x
_atom_site_fract_y
_atom_site_fract_z
Cd1 0.004 0.250 0.236
Bi1 0.194 0.750 0.473
S1 0.053 0.250 0.612
S2 0.247 0.250 0.332
Cl1 0.074 0.750 0.106
```

Main lines, sorted by position (10° ≤ 2θ ≤ 90°):
index  2θ/deg  I_rel
1 0 1  11.47  30.7
2 0 2  23.06  100.0
1 1 1  25.03  68.6
0 0 4  27.89  29.8
3 0 1  28.56  35.0
0 1 3  30.61  69.7
1 1 3  32.01  74.3
2 1 2  32.20  29.7
0 2 0  45.23  37.4
2 1 5  46.08  60.7
2 2 2  51.36  24.6
3 1 8  69.71  19.6